For LiCu3PdS4, a DFT-relaxed cell (PBE, OQMD) gives the calculated powder diffraction line list in this record (Cu Kα (weighted mean of Kα1 and Kα2)).
Kinematic intensities with the Lorentz-polarization factor, no thermal factor.

Largest 12 diffraction maxima, sorted by position, 5° ≤ 2θ ≤ 70°:
2θ (°), I (rel.)
16.3, 1000
23.1, 60
28.3, 352
32.8, 215
36.9, 529
40.5, 26
47.1, 855
50.2, 262
55.9, 129
58.6, 55
61.3, 109
68.9, 128

Crystal structure
```
data_LiCu3PdS4
_cell_length_a 5.454
_cell_length_b 5.454
_cell_length_c 5.454
_cell_angle_alpha 90.00
_cell_angle_beta 90.00
_cell_angle_gamma 90.00
_symmetry_space_group_name_H-M 'P -4 3 m'
_symmetry_Int_Tables_number 215
_symmetry_space_group_name_Hall 'P -4 2 3'
loop_
_atom_site_label
_atom_site_type_symbol
_atom_site_fract_x
_atom_site_fract_y
_atom_site_fract_z
Li1 Li 0.000 0.000 0.000
Cu1 Cu 0.000 0.500 0.500
Pd1 Pd 0.500 0.500 0.500
S1 S 0.249 0.249 0.249
```